Computed X-ray powder pattern
Compound: Ba4Cr2MoWO12
Radiation: Cu Kα X-rays
Structure: a GGA+U-relaxed structure

Most intense lines, 2θ = 10–80°, sorted by position:
2θ (°)	d/Å	Rel. int.
18.82	4.716	14
30.82	2.901	100
30.99	2.885	99
38.16	2.358	9
44.27	2.046	61
54.70	1.678	19
55.02	1.669	39
55.13	1.666	19
64.20	1.451	18
64.60	1.443	19
72.96	1.297	11
73.24	1.292	11

Atomic structure:
abc: 9.993 5.773 10.063
angles: 90.00 109.22 90.00
Space group C2/m (No. 12)
Inequivalent atoms, fractional coordinates:
Ba: 0.123 0.000 0.368 (multiplicity 4)
Ba: 0.127 0.500 0.882 (multiplicity 4)
Cr: 0.249 0.500 0.247 (multiplicity 4)
Mo: 0.000 0.000 0.000 (multiplicity 2)
W: 0.000 0.500 0.500 (multiplicity 2)
O: 0.120 0.258 0.619 (multiplicity 8)
O: 0.122 0.500 0.381 (multiplicity 4)
O: 0.124 0.000 0.869 (multiplicity 4)
O: 0.128 0.251 0.131 (multiplicity 8)

***

Computed X-ray powder pattern
Compound: Ba2NbCrO6
Radiation: Cu Kα X-rays
Structure: a GGA+U-relaxed structure

Most intense lines, 2θ = 10–80°, sorted by position:
2θ (°)	d/Å	Rel. int.
25.61	3.479	13
29.22	3.056	81
30.65	2.917	100
33.15	2.702	17
42.86	2.110	45
45.77	1.982	14
50.90	1.794	13
53.61	1.709	29
54.49	1.684	19
63.83	1.458	19
69.44	1.354	11
71.71	1.316	13

Atomic structure:
abc: 5.8330 5.8330 19.1907
angles: 90.00 90.00 120.00
Space group P6_3/mmc (No. 194)
Inequivalent atoms, fractional coordinates:
Ba: 0.0000 0.0000 0.0000 (multiplicity 2)
Ba: 0.3333 0.6667 0.1418 (multiplicity 4)
Ba: 0.3333 0.6667 0.7500 (multiplicity 2)
Nb: 0.3333 0.6667 0.5640 (multiplicity 4)
Cr: 0.0000 0.0000 0.1817 (multiplicity 4)
O: 0.0000 0.5000 0.0000 (multiplicity 6)
O: 0.1503 0.3005 0.2500 (multiplicity 6)
O: 0.1697 0.3393 0.6207 (multiplicity 12)

***

Computed X-ray powder pattern
Compound: BaNb4CrO12
Radiation: Cu Kα X-rays
Structure: a GGA+U-relaxed structure

Most intense lines, 2θ = 10–80°, sorted by position:
2θ (°)	d/Å	Rel. int.
19.32	4.594	94
22.01	4.038	36
22.17	4.010	32
31.44	2.845	87
31.94	2.802	93
32.05	2.793	100
44.90	2.019	32
45.23	2.005	35
46.68	1.946	30
56.22	1.636	38
56.43	1.630	40
57.37	1.606	40

Atomic structure:
abc: 8.019 7.784 8.076
angles: 90.00 90.00 90.00
Space group Amm2 (No. 38)
Inequivalent atoms, fractional coordinates:
Ba: 0.000 0.000 0.000 (multiplicity 2)
Nb: 0.255 0.245 0.259 (multiplicity 8)
Cr: 0.500 0.000 0.558 (multiplicity 2)
O: 0.000 0.215 0.274 (multiplicity 4)
O: 0.218 0.000 0.750 (multiplicity 4)
O: 0.258 0.215 0.028 (multiplicity 8)
O: 0.311 0.000 0.328 (multiplicity 4)
O: 0.500 0.188 0.746 (multiplicity 4)

***

Computed X-ray powder pattern
Compound: BaNdCrSnO6
Radiation: Cu Kα X-rays
Structure: a GGA+U-relaxed structure

Most intense lines, 2θ = 10–80°, sorted by position:
2θ (°)	d/Å	Rel. int.
18.95	4.682	5
21.92	4.055	3
31.19	2.867	100
36.75	2.445	4
38.45	2.341	8
44.70	2.028	31
48.96	1.861	2
50.32	1.813	2
55.51	1.655	40
65.06	1.434	19
73.91	1.282	17
78.18	1.223	2

Atomic structure:
abc: 8.110 8.110 8.110
angles: 90.00 90.00 90.00
Space group F-43m (No. 216)
Inequivalent atoms, fractional coordinates:
Ba: 0.000 0.000 0.000 (multiplicity 4)
Nd: 0.000 0.000 0.500 (multiplicity 4)
Cr: 0.250 0.250 0.750 (multiplicity 4)
Sn: 0.250 0.250 0.250 (multiplicity 4)
O: 0.003 0.250 0.750 (multiplicity 24)

***

Computed X-ray powder pattern
Compound: BaSrNdCrO6
Radiation: Cu Kα X-rays
Structure: a GGA+U-relaxed structure

Most intense lines, 2θ = 10–80°, sorted by position:
2θ (°)	d/Å	Rel. int.
30.01	2.977	100
30.18	2.962	97
30.35	2.945	97
42.88	2.109	30
43.04	2.102	30
43.69	2.072	28
53.27	1.720	21
53.43	1.715	31
53.56	1.711	18
53.67	1.708	20
53.93	1.700	19
70.87	1.330	18

Atomic structure:
abc: 5.899 5.927 8.407
angles: 90.30 90.21 91.01
Space group P-1 (No. 2)
Inequivalent atoms, fractional coordinates:
Ba: 0.012 0.002 0.247 (multiplicity 2)
Sr: 0.484 0.500 0.749 (multiplicity 2)
Nd: 0.000 0.500 0.000 (multiplicity 1)
Nd: 0.500 0.000 0.500 (multiplicity 1)
Cr: 0.000 0.500 0.500 (multiplicity 1)
Cr: 0.500 0.000 0.000 (multiplicity 1)
O: 0.012 0.457 0.726 (multiplicity 2)
O: 0.199 0.740 0.522 (multiplicity 2)
O: 0.253 0.799 0.974 (multiplicity 2)
O: 0.257 0.300 0.474 (multiplicity 2)
O: 0.300 0.247 0.028 (multiplicity 2)
O: 0.498 0.941 0.224 (multiplicity 2)

***

Computed X-ray powder pattern
Compound: BaSrNdCrO6
Radiation: Cu Kα X-rays
Structure: a GGA+U-relaxed structure

Most intense lines, 2θ = 10–80°, sorted by position:
2θ (°)	d/Å	Rel. int.
18.27	4.855	10
30.06	2.973	100
35.41	2.535	9
37.04	2.427	3
43.03	2.102	32
47.11	1.929	6
53.38	1.716	39
56.90	1.618	3
62.48	1.486	19
65.69	1.421	3
70.88	1.330	18
78.87	1.214	6

Atomic structure:
abc: 8.409 8.409 8.409
angles: 90.00 90.00 90.00
Space group F-43m (No. 216)
Inequivalent atoms, fractional coordinates:
Ba: 0.000 0.000 0.000 (multiplicity 4)
Sr: 0.000 0.000 0.500 (multiplicity 4)
Nd: 0.250 0.250 0.250 (multiplicity 4)
Cr: 0.250 0.250 0.750 (multiplicity 4)
O: 0.024 0.250 0.750 (multiplicity 24)

***

Computed X-ray powder pattern
Compound: BaCr4O7
Radiation: Cu Kα X-rays
Structure: a GGA+U-relaxed structure

Most intense lines, 2θ = 10–80°, sorted by position:
2θ (°)	d/Å	Rel. int.
17.46	5.078	100
26.65	3.345	20
29.72	3.006	40
31.67	2.825	84
32.04	2.793	95
33.99	2.638	31
49.00	1.859	18
50.31	1.813	23
53.74	1.706	26
54.90	1.672	30
59.35	1.557	15
66.16	1.412	21

Atomic structure:
abc: 6.6898 6.6898 10.5513
angles: 90.00 90.00 120.00
Space group P6_3mc (No. 186)
Inequivalent atoms, fractional coordinates:
Ba: 0.3333 0.6667 0.0000 (multiplicity 2)
Cr: 0.0000 0.0000 0.4666 (multiplicity 2)
Cr: 0.1719 0.3438 0.7149 (multiplicity 6)
O: 0.0000 0.0000 0.2696 (multiplicity 2)
O: 0.0547 0.5273 0.7799 (multiplicity 6)
O: 0.1444 0.2887 0.5416 (multiplicity 6)

***

Computed X-ray powder pattern
Compound: Ba3Cr2O8
Radiation: Cu Kα X-rays
Structure: a GGA+U-relaxed structure

Most intense lines, 2θ = 10–80°, sorted by position:
2θ (°)	d/Å	Rel. int.
27.07	3.293	100
30.58	2.924	87
39.27	2.294	11
41.29	2.186	41
45.52	1.993	25
52.24	1.751	30
54.35	1.688	16
55.83	1.647	11
63.65	1.462	15
65.00	1.435	18
70.48	1.336	13
73.03	1.296	12

Atomic structure:
abc: 5.846 7.973 10.130
angles: 102.19 90.02 111.48
Space group P1 (No. 1)
Inequivalent atoms, fractional coordinates:
Ba: 0.000 0.000 0.000 (multiplicity 1)
Ba: 0.118 0.238 0.706 (multiplicity 1)
Ba: 0.313 0.619 0.096 (multiplicity 1)
Ba: 0.499 0.000 0.500 (multiplicity 1)
Ba: 0.619 0.238 0.206 (multiplicity 1)
Ba: 0.808 0.619 0.597 (multiplicity 1)
Cr: 0.199 0.398 0.399 (multiplicity 1)
Cr: 0.419 0.840 0.806 (multiplicity 1)
Cr: 0.699 0.398 0.899 (multiplicity 1)
Cr: 0.920 0.840 0.306 (multiplicity 1)
O: 0.154 0.317 0.225 (multiplicity 1)
O: 0.201 0.921 0.237 (multiplicity 1)
O: 0.220 0.921 0.737 (multiplicity 1)
O: 0.295 0.603 0.776 (multiplicity 1)
O: 0.325 0.635 0.447 (multiplicity 1)
O: 0.400 0.316 0.466 (multiplicity 1)
O: 0.416 0.316 0.966 (multiplicity 1)
O: 0.462 0.922 0.981 (multiplicity 1)
O: 0.663 0.317 0.725 (multiplicity 1)
O: 0.699 0.922 0.738 (multiplicity 1)
O: 0.723 0.923 0.237 (multiplicity 1)
O: 0.804 0.604 0.276 (multiplicity 1)
O: 0.806 0.635 0.946 (multiplicity 1)
O: 0.901 0.316 0.963 (multiplicity 1)
O: 0.914 0.315 0.463 (multiplicity 1)
O: 0.961 0.922 0.481 (multiplicity 1)

***

Computed X-ray powder pattern
Compound: Ba3Cr2O8
Radiation: Cu Kα X-rays
Structure: a GGA+U-relaxed structure

Most intense lines, 2θ = 10–80°, sorted by position:
2θ (°)	d/Å	Rel. int.
24.06	3.698	11
27.09	3.291	100
30.57	2.924	87
39.28	2.294	11
41.30	2.186	41
45.56	1.991	25
49.02	1.858	9
52.25	1.751	30
54.35	1.688	16
55.87	1.646	11
63.65	1.462	14
65.09	1.433	9

Atomic structure:
abc: 5.846 5.848 14.819
angles: 101.27 90.05 119.97
Space group P1 (No. 1)
Inequivalent atoms, fractional coordinates:
Ba: 0.000 0.000 0.000 (multiplicity 1)
Ba: 0.079 0.186 0.309 (multiplicity 1)
Ba: 0.373 0.774 0.191 (multiplicity 1)
Ba: 0.487 0.004 0.500 (multiplicity 1)
Ba: 0.581 0.187 0.809 (multiplicity 1)
Ba: 0.875 0.775 0.691 (multiplicity 1)
Cr: 0.181 0.389 0.610 (multiplicity 1)
Cr: 0.275 0.575 0.889 (multiplicity 1)
Cr: 0.681 0.388 0.110 (multiplicity 1)
Cr: 0.774 0.574 0.390 (multiplicity 1)
O: 0.082 0.713 0.349 (multiplicity 1)
O: 0.101 0.225 0.847 (multiplicity 1)
O: 0.106 0.713 0.848 (multiplicity 1)
O: 0.129 0.278 0.493 (multiplicity 1)
O: 0.287 0.627 0.007 (multiplicity 1)
O: 0.354 0.737 0.650 (multiplicity 1)
O: 0.359 0.259 0.652 (multiplicity 1)
O: 0.375 0.257 0.154 (multiplicity 1)
O: 0.585 0.713 0.850 (multiplicity 1)
O: 0.600 0.225 0.347 (multiplicity 1)
O: 0.604 0.714 0.349 (multiplicity 1)
O: 0.612 0.286 0.993 (multiplicity 1)
O: 0.797 0.622 0.508 (multiplicity 1)
O: 0.860 0.737 0.150 (multiplicity 1)
O: 0.861 0.259 0.151 (multiplicity 1)
O: 0.873 0.262 0.652 (multiplicity 1)

***

Computed X-ray powder pattern
Compound: BaCr10O15
Radiation: Cu Kα X-rays
Structure: a GGA+U-relaxed structure

Most intense lines, 2θ = 10–80°, sorted by position:
2θ (°)	d/Å	Rel. int.
22.79	3.902	34
26.03	3.423	64
28.28	3.155	61
30.11	2.968	100
30.67	2.915	55
35.79	2.509	45
36.34	2.472	41
39.23	2.297	36
39.91	2.259	67
45.34	2.000	67
52.18	1.753	54
61.96	1.498	54

Atomic structure:
abc: 11.731 10.452 9.628
angles: 90.00 90.00 90.00
Space group Cmce (No. 64)
Inequivalent atoms, fractional coordinates:
Ba: 0.000 0.000 0.000 (multiplicity 4)
Cr: 0.000 0.183 0.365 (multiplicity 8)
Cr: 0.127 0.084 0.643 (multiplicity 16)
Cr: 0.244 0.162 0.115 (multiplicity 16)
O: 0.000 0.000 0.500 (multiplicity 4)
O: 0.000 0.145 0.760 (multiplicity 8)
O: 0.131 0.234 0.505 (multiplicity 16)
O: 0.132 0.091 0.260 (multiplicity 16)
O: 0.244 0.000 0.500 (multiplicity 8)
O: 0.250 0.185 0.750 (multiplicity 8)